# 1
# CaB2O9
Computed XRD peak list, Cu Kα, 1.54184 Å. Input: a structure optimized by DFT (PBE).

Atomic structure:
a = 6.2710 Å, b = 6.9719 Å, c = 8.2111 Å
α = 77.51°, β = 89.14°, γ = 66.73°
Space group P-1 (No. 2)
Inequivalent atoms, fractional coordinates:
Ca 0.2052 0.3875 0.3122
B 0.3572 0.4799 0.7392
B 0.4082 0.8720 0.3191
O 0.0972 0.7695 0.9542
O 0.1859 0.4200 0.8316
O 0.2011 0.5573 0.5852
O 0.2085 0.9796 0.4081
O 0.2239 0.8288 0.8569
O 0.3587 0.0703 0.1959
O 0.3853 0.1828 0.5756
O 0.4132 0.6833 0.2689
O 0.4314 0.6311 0.7990

Peak list (10 most intense, 15° ≤ 2θ ≤ 90°, in order of rising 2θ)
(hkl)  2theta  I (rel.)
1 1 -1  20.8  100
0 0 2  22.2  68
1 0 2  28.2  89
0 1 -2  29.2  42
2 1 -1  31.0  29
2 0 0  31.1  49
0 2 2  32.1  67
1 3 1  38.9  32
1 3 2  41.3  44
2 2 -2  42.4  35

=====

# 2
# Mg2Sn
Computed XRD peak list, Cu Kα, 1.54184 Å. Input: a structure optimized by DFT (PBE).

Atomic structure:
a = 6.8166 Å, b = 6.8166 Å, c = 6.8166 Å
α = 90.00°, β = 90.00°, γ = 90.00°
Space group Fm-3m (No. 225)
Inequivalent atoms, fractional coordinates:
Mg 0.2500 0.2500 0.2500
Sn 0.0000 0.0000 0.0000

Peak list (10 most intense, 15° ≤ 2θ ≤ 90°, in order of rising 2θ)
(hkl)  2theta  I (rel.)
1 1 1  22.6  100
2 0 0  26.1  17
2 2 0  37.3  85
3 1 1  44.1  53
4 0 0  53.8  15
3 3 1  59.1  23
4 2 2  67.3  31
5 1 1  72.0  18
4 4 0  79.5  10
5 3 1  84.0  18

=====

# 3
# MgP4Cl10O6
Computed XRD peak list, Cu Kα, 1.54184 Å. Input: a structure optimized by DFT (PBE).

Atomic structure:
a = 10.1355 Å, b = 11.2910 Å, c = 11.5969 Å
α = 108.28°, β = 96.35°, γ = 116.01°
Space group P-1 (No. 2)
Inequivalent atoms, fractional coordinates:
Mg 0.2390 0.0067 0.4415
P 0.0160 0.1564 0.4172
P 0.0898 0.2828 0.8280
P 0.3987 0.7846 0.3502
P 0.4405 0.1733 0.2519
Cl 0.0243 0.8756 0.7715
Cl 0.0646 0.2596 0.9898
Cl 0.0746 0.3679 0.5018
Cl 0.0961 0.4686 0.8528
Cl 0.2693 0.5736 0.3222
Cl 0.3018 0.3217 0.8299
Cl 0.3497 0.8004 0.7060
Cl 0.3771 0.1088 0.0630
Cl 0.3960 0.7645 0.1670
Cl 0.4703 0.3717 0.3214
O 0.0286 0.8411 0.2861
O 0.1347 0.9340 0.5665
O 0.1543 0.1455 0.4553
O 0.3132 0.8598 0.3955
O 0.3299 0.0721 0.2950
O 0.4416 0.1637 0.5778

Peak list (10 most intense, 15° ≤ 2θ ≤ 90°, in order of rising 2θ)
(hkl)  2theta  I (rel.)
0 2 0  19.1  26
0 2 -2  19.7  41
2 -2 0  19.8  43
2 0 0  20.4  37
1 0 2  22.1  47
1 1 -3  24.3  100
2 -3 0  25.6  49
3 -2 0  26.9  30
3 -2 1  28.5  41
1 1 -4  31.3  31

=====

# 4
# ReSe2
Computed XRD peak list, Cu Kα, 1.54184 Å. Input: a structure optimized by DFT (PBE).

Atomic structure:
a = 3.4721 Å, b = 3.4721 Å, c = 25.9239 Å
α = 90.00°, β = 90.00°, γ = 120.00°
Space group P-6m2 (No. 187)
Inequivalent atoms, fractional coordinates:
Re 0.0000 0.0000 0.0000
Re 0.0000 0.0000 0.2509
Re 0.6667 0.3333 0.5000
Se 0.0000 0.0000 0.4402
Se 0.3333 0.6667 0.1914
Se 0.3333 0.6667 0.3106
Se 0.6667 0.3333 0.0596

Peak list (10 most intense, 15° ≤ 2θ ≤ 90°, in order of rising 2θ)
(hkl)  2theta  I (rel.)
1 0 2  30.5  100
1 0 4  32.8  83
1 0 5  34.5  49
1 0 6  36.4  53
1 0 7  38.6  77
1 0 8  40.9  76
1 0 9  43.5  55
1 1 0  52.7  90
1 1 4  54.7  53
1 1 16  81.2  50

=====

# 5
# Nb2MoRu
Computed XRD peak list, Cu Kα, 1.54184 Å. Input: a structure optimized by DFT (PBE).

Atomic structure:
a = 6.4165 Å, b = 6.4165 Å, c = 6.4165 Å
α = 90.00°, β = 90.00°, γ = 90.00°
Space group Fm-3m (No. 225)
Inequivalent atoms, fractional coordinates:
Nb 0.2500 0.2500 0.2500
Mo 0.0000 0.0000 0.0000
Ru 0.0000 0.0000 0.5000

Peak list (4 most intense, 15° ≤ 2θ ≤ 90°, in order of rising 2θ)
(hkl)  2theta  I (rel.)
2 2 0  39.7  100
4 0 0  57.4  17
4 2 2  72.1  33
4 4 0  85.6  11

=====

# 6
# Na4LaZrSi2PO12
Computed XRD peak list, Cu Kα, 1.54184 Å. Input: a structure optimized by DFT (PBE).

Atomic structure:
a = 16.0425 Å, b = 9.6222 Å, c = 9.3231 Å
α = 90.00°, β = 123.45°, γ = 90.00°
Space group Cc (No. 9)
Inequivalent atoms, fractional coordinates:
Na 0.0000 0.0592 0.0000
Na 0.1897 0.3851 0.8622
Na 0.3589 0.0772 0.7249
Na 0.4267 0.2627 0.1114
La 0.0849 0.2468 0.4607
Zr 0.2806 0.2486 0.2667
Si 0.1830 0.0562 0.8782
Si 0.3266 0.4114 0.6675
P 0.0226 0.3894 0.0521
O 0.0079 0.3756 0.2007
O 0.0095 0.4562 0.5021
O 0.1060 0.0247 0.4099
O 0.1145 0.1660 0.7233
O 0.1273 0.3265 0.1074
O 0.2289 0.3555 0.6581
O 0.2442 0.0623 0.3352
O 0.2700 0.1395 0.0558
O 0.3189 0.3612 0.4869
O 0.3274 0.4152 0.1700
O 0.4217 0.3465 0.8451
O 0.4413 0.1989 0.3936

Peak list (10 most intense, 15° ≤ 2θ ≤ 90°, in order of rising 2θ)
(hkl)  2theta  I (rel.)
0 2 0  18.5  57
2 0 -2  19.0  62
2 2 -1  22.0  16
4 0 0  26.6  23
5 1 -1  30.2  100
1 3 1  32.3  42
2 0 2  32.4  21
5 1 1  42.3  13
6 2 0  44.8  26
6 4 0  56.2  16

=====

# 7
# K3Al3Si3O16
Computed XRD peak list, Cu Kα, 1.54184 Å. Input: a structure optimized by DFT (PBE).

Atomic structure:
a = 9.2885 Å, b = 9.3025 Å, c = 9.3314 Å
α = 89.65°, β = 89.50°, γ = 89.16°
Space group P1 (No. 1)
Inequivalent atoms, fractional coordinates:
K 0.0000 0.0000 0.0000
K 0.0107 0.3490 0.3653
K 0.1532 0.5045 0.8579
K 0.5029 0.4992 0.4986
K 0.5134 0.8579 0.8569
K 0.6596 0.0026 0.3504
Al 0.0765 0.6803 0.1849
Al 0.3289 0.1792 0.9293
Al 0.3330 0.1756 0.4287
Al 0.5801 0.6726 0.1785
Al 0.8230 0.4302 0.6882
Al 0.8399 0.9272 0.6726
Si 0.0823 0.1797 0.6833
Si 0.3255 0.9302 0.1814
Si 0.3333 0.4267 0.1775
Si 0.5805 0.1782 0.6762
Si 0.8261 0.6773 0.4298
Si 0.8334 0.6783 0.9296
O 0.1698 0.2110 0.8314
O 0.1780 0.8374 0.2110
O 0.1855 0.1619 0.5440
O 0.1938 0.5339 0.1518
O 0.1991 0.5452 0.5623
O 0.2092 0.7957 0.6951
O 0.2682 0.8026 0.5688
O 0.2994 0.0249 0.0349
O 0.3012 0.3286 0.3201
O 0.3546 0.3329 0.0319
O 0.3647 0.0282 0.3178
O 0.4086 0.7978 0.5647
O 0.4598 0.8189 0.1499
O 0.4704 0.1423 0.8091
O 0.4772 0.5193 0.2095
O 0.4913 0.2038 0.5267
O 0.6688 0.3250 0.7061
O 0.6812 0.1319 0.0346
O 0.6809 0.7036 0.3333
O 0.6859 0.0381 0.6521
O 0.6862 0.6665 0.0241
O 0.7135 0.3169 0.1783
O 0.7178 0.2654 0.0494
O 0.7950 0.5410 0.5369
O 0.8115 0.8184 0.8243
O 0.8557 0.8259 0.5155
O 0.8629 0.5313 0.8394
O 0.9622 0.0249 0.2866
O 0.9621 0.6341 0.3261
O 0.9747 0.3187 0.6531
O 0.9761 0.7071 0.0273
O 0.9852 0.0380 0.7112

Peak list (10 most intense, 15° ≤ 2θ ≤ 90°, in order of rising 2θ)
(hkl)  2theta  I (rel.)
1 1 2  23.2  77
1 1 -2  23.4  100
-2 1 1  23.6  74
1 0 3  30.3  64
0 1 -3  30.4  63
3 -1 0  30.5  47
2 -2 2  33.5  46
3 3 0  40.9  47
4 1 -1  41.1  17
3 0 -3  41.3  37

=====

# 8
# CoRe
Computed XRD peak list, Cu Kα, 1.54184 Å. Input: a structure optimized by DFT (PBE).

Atomic structure:
a = 2.6833 Å, b = 2.6833 Å, c = 4.1520 Å
α = 90.00°, β = 90.00°, γ = 120.00°
Space group P-6m2 (No. 187)
Inequivalent atoms, fractional coordinates:
Co 0.0000 0.0000 0.0000
Re 0.3333 0.6667 0.5000

Peak list (10 most intense, 15° ≤ 2θ ≤ 90°, in order of rising 2θ)
(hkl)  2theta  I (rel.)
0 0 1  21.4  33
1 0 0  38.7  40
0 0 2  43.6  22
1 0 1  44.7  100
1 0 2  59.7  23
1 1 0  70.1  16
1 1 1  74.3  8
1 0 3  80.8  18
1 1 2  86.3  18
2 0 1  87.1  15